# 1
Structure and calculated X-ray diffraction stick pattern of Tb2Al3Ga3 (a crystal structure in OQMD, relaxed with GGA-PBE; λ = 1.5418 Å (Cu Kα)).
Intensities are scaled so that the largest is 1000.

Most intense lines, 2θ = 15–90°, in order of rising 2θ:
| two_theta | I (rel.) | index |
| --- | --- | --- |
| 25.55 | 486 | 1 0 1 |
| 28.25 | 216 | 1 1 0 |
| 32.74 | 289 | 2 0 0 |
| 38.45 | 1000 | 2 0 1 |
| 39.85 | 210 | 0 0 2 |
| 73.06 | 171 | 2 2 2 |

Crystal structure
```
data_Tb2Al3Ga3
_cell_length_a 6.3179
_cell_length_b 6.3179
_cell_length_c 4.5246
_cell_angle_alpha 90.00
_cell_angle_beta 90.00
_cell_angle_gamma 120.00
_symmetry_space_group_name_H-M 'P -6 m 2'
_symmetry_Int_Tables_number 187
_symmetry_space_group_name_Hall 'P -6 2'
loop_
_atom_site_label
_atom_site_type_symbol
_atom_site_fract_x
_atom_site_fract_y
_atom_site_fract_z
_atom_site_occupancy
Tb1 Tb 0.0000 0.0000 0.0000 1
Tb2 Tb 0.3333 0.6667 0.5000 1
Al1 Al 0.5213 0.0425 0.0000 1
Ga1 Ga 0.3729 0.1865 0.5000 1
```



# 2
Structure and calculated X-ray diffraction stick pattern of TbZrNO (a crystal structure in OQMD, relaxed with GGA-PBE; λ = 1.5418 Å (Cu Kα)).
Intensities are scaled so that the largest is 1000.

Most intense lines, 2θ = 15–90°, in order of rising 2θ:
| two_theta | I (rel.) | index |
| --- | --- | --- |
| 26.33 | 327 | 2 1 0 |
| 27.08 | 295 | 0 2 0 |
| 32.60 | 1000 | 2 1 1 |
| 33.22 | 305 | 0 2 1 |
| 38.29 | 316 | 0 0 2 |
| 47.39 | 281 | 2 3 0 |

Crystal structure
```
data_TbZrNO
_cell_length_a 7.8932
_cell_length_b 6.5854
_cell_length_c 4.7011
_cell_angle_alpha 90.00
_cell_angle_beta 90.00
_cell_angle_gamma 90.00
_symmetry_space_group_name_H-M 'P b c m'
_symmetry_Int_Tables_number 57
loop_
_symmetry_equiv_pos_as_xyz
'x,y,z'
'-x,-y,-z'
'-x,-y,z+1/2'
'x,y,-z+1/2'
'x,-y+1/2,-z'
'-x,y+1/2,z'
'-x,y+1/2,-z+1/2'
'x,-y+1/2,z+1/2'
loop_
_atom_site_label
_atom_site_type_symbol
_atom_site_fract_x
_atom_site_fract_y
_atom_site_fract_z
_atom_site_occupancy
Tb1 Tb 0.1248 0.0559 0.2500 1
Zr1 Zr 0.3756 0.5933 0.2500 1
N1 N 0.3932 0.5774 0.7500 1
O1 O 0.1473 0.0970 0.7500 1
```



# 3
Structure and calculated X-ray diffraction stick pattern of GdFe3Pd (a crystal structure in OQMD, relaxed with GGA-PBE; λ = 1.5418 Å (Cu Kα)).
Intensities are scaled so that the largest is 1000.

Most intense lines, 2θ = 15–90°, in order of rising 2θ:
| two_theta | I (rel.) | index |
| --- | --- | --- |
| 29.31 | 347 | 1 3 0 |
| 33.41 | 222 | 1 3 1 |
| 34.16 | 286 | 0 2 2 |
| 39.02 | 361 | 1 5 0 |
| 43.68 | 1000 | 1 3 2 |
| 45.45 | 291 | 2 0 0 |

Crystal structure
```
data_GdFe3Pd
_cell_length_a 3.9916
_cell_length_b 14.1479
_cell_length_c 5.6531
_cell_angle_alpha 90.00
_cell_angle_beta 90.00
_cell_angle_gamma 90.00
_symmetry_space_group_name_H-M 'C m c m'
_symmetry_Int_Tables_number 63
_symmetry_space_group_name_Hall '-C 2c 2'
loop_
_atom_site_label
_atom_site_type_symbol
_atom_site_fract_x
_atom_site_fract_y
_atom_site_fract_z
_atom_site_occupancy
Gd1 Gd 0.0000 0.0197 0.2500 1
Fe1 Fe 0.0000 0.1962 0.0108 1
Fe2 Fe 0.0000 0.3318 0.7500 1
Pd1 Pd 0.0000 0.3709 0.2500 1
```



# 4
Structure and calculated X-ray diffraction stick pattern of Be2Mo2As3P (a crystal structure in OQMD, relaxed with GGA-PBE; λ = 1.5418 Å (Cu Kα)).
Intensities are scaled so that the largest is 1000.

Most intense lines, 2θ = 15–90°, in order of rising 2θ:
| two_theta | I (rel.) | index |
| --- | --- | --- |
| 18.35 | 330 | 1 1 0 |
| 28.40 | 1000 | 1 1 1 |
| 28.51 | 860 | 3 1 -1 |
| 29.69 | 351 | 4 0 -1 |
| 47.32 | 613 | 6 0 -2 |
| 47.49 | 421 | 4 2 0 |

Crystal structure
```
data_Be2Mo2As3P
_cell_length_a 12.1317
_cell_length_b 5.3997
_cell_length_c 5.4690
_cell_angle_alpha 90.00
_cell_angle_beta 116.46
_cell_angle_gamma 90.00
_symmetry_space_group_name_H-M 'C 1 2 1'
_symmetry_Int_Tables_number 5
loop_
_symmetry_equiv_pos_as_xyz
'x,y,z'
'-x,y,-z'
'x+1/2,y+1/2,z'
'-x+1/2,y+1/2,-z'
loop_
_atom_site_label
_atom_site_type_symbol
_atom_site_fract_x
_atom_site_fract_y
_atom_site_fract_z
_atom_site_occupancy
Be1 Be 0.1204 0.0000 0.3590 1
Mo1 Mo 0.1212 0.5184 0.8793 1
As1 As 0.0000 0.2306 0.5000 1
As2 As 0.2504 0.2615 0.2809 1
P1 P 0.0000 0.7914 0.0000 1
```